Computed X-ray diffraction stick pattern
Compound: Ho2Mg17
Radiation: Cu Kα, 1.54184 Å
Structure: the PBE geometry in Alexandria
No peak broadening, texture or thermal motion is included.

Most intense lines, 2θ from 10° to 90°, low angle first:
Position (°2θ)  d_spacing  Rel. int.
17.41  5.093  45
24.75  3.598  56
30.36  2.944  34
35.23  2.548  100
35.80  2.508  21
50.70  1.800  32

Cell: 7.7741 7.7741 7.7741 Å, 81.97 81.97 81.97°
Element x y z (fractional)
Ho  0.1720  0.1720  0.1720
Ho  0.8280  0.8280  0.8280
Mg  0.0000  0.5000  0.5000
Mg  0.1466  0.1466  0.6601
Mg  0.1466  0.6601  0.1466
Mg  0.1947  0.5000  0.8053
Mg  0.1947  0.8053  0.5000
Mg  0.3399  0.8534  0.8534
Mg  0.4007  0.4007  0.4007
Mg  0.5000  0.0000  0.5000
Mg  0.5000  0.1947  0.8053
Mg  0.5000  0.5000  0.0000
Mg  0.5000  0.8053  0.1947
Mg  0.5993  0.5993  0.5993
Mg  0.6601  0.1466  0.1466
Mg  0.8053  0.1947  0.5000
Mg  0.8053  0.5000  0.1947
Mg  0.8534  0.3399  0.8534
Mg  0.8534  0.8534  0.3399